(1)
The following is a simulated XRD peak list of ErFeTcGe2. It was derived from a cell relaxed with GGA-PBE, using λ = 1.5418 Å (Cu Kα).
Neutral-atom scattering factors, no anomalous dispersion.

Cell and atoms:
a = 4.0158 Å, b = 4.0158 Å, c = 10.7019 Å
α = 90.00°, β = 90.00°, γ = 90.00°
Space group I-4m2 (No. 119)
Asymmetric unit:
Er (0.0000, 0.0000, 0.0000) (multiplicity 2)
Fe (0.0000, 0.5000, 0.2500) (multiplicity 2)
Tc (0.0000, 0.5000, 0.7500) (multiplicity 2)
Ge (0.0000, 0.0000, 0.3817) (multiplicity 4)

Main lines, sorted by position (2θ = 15–90°):
2θ 33.60, I = 71, (1 0 3); 2θ 35.80, I = 100, (1 1 2); 2θ 45.16, I = 51, (2 0 0); 2θ 48.18, I = 33, (1 0 5); 2θ 57.44, I = 37, (2 1 3); 2θ 65.77, I = 16, (2 2 0); 2θ 68.16, I = 23, (2 1 5); 2θ 77.21, I = 20, (3 1 2)

(2)
The following is a simulated XRD peak list of ErFe2H8. It was derived from a cell relaxed with GGA-PBE, using λ = 1.5418 Å (Cu Kα).
Neutral-atom scattering factors, no anomalous dispersion.

Cell and atoms:
a = 4.4144 Å, b = 7.6463 Å, c = 4.1812 Å
α = 90.00°, β = 90.09°, γ = 90.00°
Space group Cm (No. 8)
Asymmetric unit:
Er (0.0000, 0.0000, 0.0000) (multiplicity 2)
Fe (0.0390, 0.3293, 0.4993) (multiplicity 4)
H (0.0060, 0.5000, 0.2466) (multiplicity 2)
H (0.0072, 0.5000, 0.7520) (multiplicity 2)
H (0.2513, 0.2226, 0.2361) (multiplicity 4)
H (0.2515, 0.2218, 0.7620) (multiplicity 4)
H (0.4007, 0.3733, 0.4999) (multiplicity 4)

Main lines, sorted by position (2θ = 15–90°):
2θ 23.27, I = 24, (1 1 0); 2θ 31.71, I = 100, (0 2 1); 2θ 40.89, I = 38, (1 3 0); 2θ 43.28, I = 11, (0 0 2); 2θ 52.65, I = 23, (2 2 1); 2θ 61.04, I = 19, (1 3 2); 2θ 68.73, I = 20, (1 5 1); 2θ 72.14, I = 9, (0 2 3)

(3)
The following is a simulated XRD peak list of Er2Fe17H3. It was derived from a cell relaxed with GGA-PBE, using λ = 1.5418 Å (Cu Kα).
Neutral-atom scattering factors, no anomalous dispersion.

Cell and atoms:
a = 8.5007 Å, b = 8.5007 Å, c = 8.1859 Å
α = 90.00°, β = 90.00°, γ = 120.00°
Space group P6_3/mmc (No. 194)
Asymmetric unit:
Er (0.0000, 0.0000, 0.2500) (multiplicity 2)
Er (0.3333, 0.6667, 0.2500) (multiplicity 2)
Fe (0.0000, 0.5000, 0.0000) (multiplicity 6)
Fe (0.0473, 0.3761, 0.7500) (multiplicity 12)
Fe (0.1665, 0.3331, 0.0159) (multiplicity 12)
Fe (0.3333, 0.6667, 0.6054) (multiplicity 4)
H (0.1646, 0.3293, 0.2500) (multiplicity 6)

Main lines, sorted by position (2θ = 15–90°):
2θ 30.32, I = 46, (1 1 2); 2θ 36.62, I = 42, (3 0 0); 2θ 41.18, I = 34, (2 0 3); 2θ 42.54, I = 65, (2 2 0); 2θ 42.97, I = 100, (3 0 2); 2θ 44.26, I = 32, (0 0 4); 2θ 62.06, I = 20, (4 1 2); 2θ 63.06, I = 19, (2 2 4)

(4)
The following is a simulated XRD peak list of ErFe3H6. It was derived from a cell relaxed with GGA-PBE, using λ = 1.5418 Å (Cu Kα).
Neutral-atom scattering factors, no anomalous dispersion.

Cell and atoms:
a = 4.3845 Å, b = 4.3845 Å, c = 14.4708 Å
α = 90.00°, β = 90.00°, γ = 120.00°
Space group R3 (No. 146, hexagonal axes)
Asymmetric unit:
Er (0.0000, 0.0000, 0.0000) (multiplicity 3)
Fe (0.0000, 0.0000, 0.1853) (multiplicity 3)
Fe (0.0000, 0.0000, 0.4646) (multiplicity 3)
Fe (0.0000, 0.0000, 0.7956) (multiplicity 3)
H (0.0481, 0.3345, 0.5385) (multiplicity 9)
H (0.1619, 0.8245, 0.3829) (multiplicity 9)

Main lines, sorted by position (2θ = 15–90°):
2θ 24.23, I = 75, (1 0 1); 2θ 26.51, I = 46, (0 1 2); 2θ 34.23, I = 76, (1 0 4); 2θ 37.28, I = 23, (0 0 6); 2θ 39.14, I = 63, (0 1 5); 2θ 41.18, I = 100, (1 1 0); 2θ 54.59, I = 20, (0 2 4); 2θ 56.75, I = 40, (2 -1 6)

(5)
The following is a simulated XRD peak list of Er2HfFe9. It was derived from a cell relaxed with GGA-PBE, using λ = 1.5418 Å (Cu Kα).
Neutral-atom scattering factors, no anomalous dispersion.

Cell and atoms:
a = 4.9783 Å, b = 4.9783 Å, c = 24.2010 Å
α = 90.00°, β = 90.00°, γ = 120.00°
Space group R-3m (No. 166, hexagonal axes)
Asymmetric unit:
Er (0.0000, 0.0000, 0.1411) (multiplicity 6)
Hf (0.0000, 0.0000, 0.0000) (multiplicity 3)
Fe (0.0000, 0.0000, 0.3329) (multiplicity 6)
Fe (0.0000, 0.0000, 0.5000) (multiplicity 3)
Fe (0.9997, 0.4998, 0.0809) (multiplicity 18)

Main lines, sorted by position (2θ = 15–90°):
2θ 33.22, I = 52, (1 0 7); 2θ 36.08, I = 54, (1 1 0); 2θ 36.28, I = 37, (0 1 8); 2θ 42.08, I = 36, (0 2 1); 2θ 42.68, I = 100, (1 1 6); 2θ 63.07, I = 17, (2 1 7); 2θ 69.42, I = 31, (3 0 6); 2θ 76.55, I = 19, (2 2 0)

(6)
The following is a simulated XRD peak list of Er5Fe2Hg2. It was derived from a cell relaxed with GGA-PBE, using λ = 1.5418 Å (Cu Kα).
Neutral-atom scattering factors, no anomalous dispersion.

Cell and atoms:
a = 16.4575 Å, b = 7.1516 Å, c = 7.2303 Å
α = 90.00°, β = 90.00°, γ = 90.00°
Space group Cmce (No. 64)
Asymmetric unit:
Er (0.0000, 0.0000, 0.0000) (multiplicity 4)
Er (0.1227, 0.1824, 0.3188) (multiplicity 16)
Fe (0.0000, 0.1048, 0.6084) (multiplicity 8)
Hg (0.2230, 0.0000, 0.0000) (multiplicity 8)

Main lines, sorted by position (2θ = 15–90°):
2θ 32.19, I = 35, (3 1 2); 2θ 32.40, I = 55, (5 1 1); 2θ 32.98, I = 99, (4 0 2); 2θ 33.19, I = 100, (4 2 0); 2θ 35.30, I = 70, (0 2 2); 2θ 35.50, I = 51, (4 2 1); 2θ 39.85, I = 29, (1 1 3); 2θ 61.54, I = 32, (5 3 3)

(7)
The following is a simulated XRD peak list of Er6FeHg2. It was derived from a cell relaxed with GGA-PBE, using λ = 1.5418 Å (Cu Kα).
Neutral-atom scattering factors, no anomalous dispersion.

Cell and atoms:
a = 5.0404 Å, b = 7.0165 Å, c = 14.3171 Å
α = 90.00°, β = 90.00°, γ = 90.00°
Space group Immm (No. 71)
Asymmetric unit:
Er (0.0000, 0.2251, 0.0000) (multiplicity 4)
Er (0.0000, 0.2593, 0.3468) (multiplicity 8)
Fe (0.0000, 0.5000, 0.5000) (multiplicity 2)
Hg (0.0000, 0.5000, 0.1660) (multiplicity 4)

Main lines, sorted by position (2θ = 15–90°):
2θ 21.71, I = 19, (1 1 0); 2θ 22.53, I = 19, (0 1 3); 2θ 25.71, I = 16, (1 0 3); 2θ 35.62, I = 28, (2 0 0); 2θ 36.44, I = 100, (1 2 3); 2θ 37.70, I = 21, (0 0 6); 2θ 52.84, I = 16, (2 0 6); 2θ 64.52, I = 19, (3 2 3)

(8)
The following is a simulated XRD peak list of Er4FeHg. It was derived from a cell relaxed with GGA-PBE, using λ = 1.5418 Å (Cu Kα).
Neutral-atom scattering factors, no anomalous dispersion.

Cell and atoms:
a = 8.5028 Å, b = 12.3684 Å, c = 6.0355 Å
α = 90.00°, β = 105.43°, γ = 90.00°
Space group C2/c (No. 15)
Asymmetric unit:
Er (0.1041, 0.1644, 0.0403) (multiplicity 8)
Er (0.2180, 0.4201, 0.4029) (multiplicity 8)
Fe (0.0000, 0.0015, 0.2500) (multiplicity 4)
Hg (0.0000, 0.3715, 0.7500) (multiplicity 4)

Main lines, sorted by position (2θ = 15–90°):
2θ 28.87, I = 29, (0 4 0); 2θ 30.23, I = 29, (1 3 1); 2θ 30.62, I = 57, (1 1 -2); 2θ 33.11, I = 65, (3 1 -1); 2θ 33.23, I = 100, (2 2 1); 2θ 37.02, I = 38, (1 3 -2); 2θ 39.15, I = 27, (3 3 -1); 2θ 39.99, I = 24, (1 5 -1)